No. 1
For CsZn4B3O9, DFT lattice parameters and positions (PBE) gives the simulated powder diffractogram in this record (a wavelength of 1.5418 Å).
Kinematic intensities with the Lorentz-polarization factor, no thermal factor.

Structural model:
a = 7.005 Å, b = 5.072 Å, c = 13.176 Å
α = 90.00°, β = 93.42°, γ = 90.00°
Space group P2/c (No. 13)
Asymmetric unit:
Cs  0.000  0.235  0.250 (multiplicity 2)
Zn  0.211  0.331  0.561 (multiplicity 4)
Zn  0.488  0.147  0.126 (multiplicity 4)
B  0.193  0.155  0.958 (multiplicity 4)
B  0.500  0.348  0.750 (multiplicity 2)
O  0.043  0.248  0.899 (multiplicity 4)
O  0.271  0.098  0.442 (multiplicity 4)
O  0.277  0.300  0.039 (multiplicity 4)
O  0.406  0.210  0.671 (multiplicity 4)
O  0.500  0.377  0.250 (multiplicity 2)

The 12 most intense peaks (2θ = 15–90°), in order of rising 2θ:
Position (°2θ), I_rel, hkl
18.8, 398, 0 1 1
19.1, 259, 1 0 2
26.9, 294, 0 1 3
28.2, 522, 2 0 -2
29.3, 1000, 1 0 -4
29.6, 336, 2 0 2
30.3, 644, 1 1 3
31.5, 429, 2 1 -1
35.4, 270, 0 2 0
35.6, 269, 1 1 4
41.1, 228, 0 0 6
54.1, 247, 3 1 -5

=====

No. 2
For Cs4B9S9, DFT lattice parameters and positions (PBE) gives the simulated powder diffractogram in this record (a wavelength of 1.5418 Å).
Kinematic intensities with the Lorentz-polarization factor, no thermal factor.

Structural model:
a = 10.631 Å, b = 10.731 Å, c = 11.162 Å
α = 93.10°, β = 103.05°, γ = 110.23°
Space group P-1 (No. 2)
Asymmetric unit:
Cs  0.113  0.369  0.128 (multiplicity 2)
Cs  0.151  0.010  0.379 (multiplicity 2)
Cs  0.254  0.622  0.470 (multiplicity 2)
Cs  0.318  0.380  0.757 (multiplicity 2)
B  0.152  0.823  0.703 (multiplicity 2)
B  0.182  0.773  0.142 (multiplicity 2)
B  0.340  0.968  0.020 (multiplicity 2)
B  0.372  0.860  0.916 (multiplicity 2)
B  0.380  0.022  0.880 (multiplicity 2)
B  0.430  0.252  0.248 (multiplicity 2)
B  0.439  0.870  0.080 (multiplicity 2)
B  0.455  0.136  0.024 (multiplicity 2)
B  0.491  0.042  0.144 (multiplicity 2)
S  0.006  0.746  0.573 (multiplicity 2)
S  0.042  0.674  0.200 (multiplicity 2)
S  0.169  0.913  0.058 (multiplicity 2)
S  0.225  0.722  0.806 (multiplicity 2)
S  0.236  0.009  0.742 (multiplicity 2)
S  0.343  0.738  0.163 (multiplicity 2)
S  0.407  0.363  0.358 (multiplicity 2)
S  0.414  0.279  0.083 (multiplicity 2)
S  0.476  0.108  0.295 (multiplicity 2)

The 12 most intense peaks (2θ = 15–90°), in order of rising 2θ:
Position (°2θ), I_rel, hkl
18.1, 517, 2 0 -1
18.4, 530, -1 1 2
18.6, 581, 1 -2 1
18.8, 474, 1 1 1
24.1, 304, 1 0 -3
24.8, 450, 2 1 -2
25.2, 1000, 1 2 -2
26.9, 962, 0 3 0
28.7, 403, 1 0 3
29.1, 337, -3 2 2
32.3, 299, 3 1 0
32.8, 338, 0 2 3

=====

No. 3
For Cs3B3Se10, DFT lattice parameters and positions (PBE) gives the simulated powder diffractogram in this record (a wavelength of 1.5418 Å).
Kinematic intensities with the Lorentz-polarization factor, no thermal factor.

Structural model:
a = 7.880 Å, b = 8.773 Å, c = 15.596 Å
α = 74.20°, β = 88.92°, γ = 77.70°
Space group P-1 (No. 2)
Asymmetric unit:
Cs  0.041  0.063  0.284 (multiplicity 2)
Cs  0.256  0.478  0.358 (multiplicity 2)
Cs  0.336  0.829  0.984 (multiplicity 2)
B  0.097  0.399  0.907 (multiplicity 2)
B  0.271  0.305  0.737 (multiplicity 2)
B  0.388  0.102  0.593 (multiplicity 2)
Se  0.077  0.248  0.828 (multiplicity 2)
Se  0.143  0.252  0.036 (multiplicity 2)
Se  0.144  0.448  0.121 (multiplicity 2)
Se  0.206  0.302  0.609 (multiplicity 2)
Se  0.236  0.016  0.520 (multiplicity 2)
Se  0.289  0.540  0.721 (multiplicity 2)
Se  0.304  0.510  0.878 (multiplicity 2)
Se  0.420  0.796  0.474 (multiplicity 2)
Se  0.462  0.942  0.717 (multiplicity 2)
Se  0.491  0.851  0.219 (multiplicity 2)

The 12 most intense peaks (2θ = 15–90°), in order of rising 2θ:
Position (°2θ), I_rel, hkl
21.5, 254, 1 2 1
22.4, 315, 1 2 2
26.5, 277, 2 0 2
27.1, 901, 2 1 -2
27.4, 367, 0 2 -2
27.6, 962, 2 -1 0
28.7, 1000, 0 1 -4
29.8, 223, 2 2 -1
31.5, 348, 0 3 1
31.7, 333, 0 2 5
32.6, 405, 2 0 -4
35.0, 262, -1 2 5

=====

No. 4
For CsBSe3, DFT lattice parameters and positions (PBE) gives the simulated powder diffractogram in this record (a wavelength of 1.5418 Å).
Kinematic intensities with the Lorentz-polarization factor, no thermal factor.

Structural model:
a = 7.825 Å, b = 13.128 Å, c = 6.266 Å
α = 90.00°, β = 107.00°, γ = 90.00°
Space group P2_1/c (No. 14)
Asymmetric unit:
Cs  0.240  0.078  0.287 (multiplicity 4)
B  0.206  0.731  0.156 (multiplicity 4)
Se  0.053  0.697  0.836 (multiplicity 4)
Se  0.299  0.597  0.316 (multiplicity 4)
Se  0.433  0.683  0.662 (multiplicity 4)

The 12 most intense peaks (2θ = 15–90°), in order of rising 2θ:
Position (°2θ), I_rel, hkl
20.1, 186, 0 2 1
22.6, 253, 1 1 1
27.4, 383, 2 2 0
27.7, 1000, 2 2 -1
29.8, 407, 0 0 2
31.1, 812, 0 4 1
34.6, 210, 2 2 1
35.2, 239, 2 2 -2
36.7, 150, 3 1 0
47.0, 155, 2 2 -3
48.2, 245, 2 6 0
53.4, 144, 2 6 -2